Diffraction record for PrCl. The powder diffractogram is simulated, not measured: it uses a DFT-relaxed cell (PBE, OQMD) and Cu Kα.
Lines closer than 0.1° are merged.

Atomic structure:
Cell: 3.5971 3.5971 8.7985 Å, 90.00 90.00 120.00°
Positions (direct):
1 Pr 0.0000 0.0000 0.0000
2 Pr 0.0000 0.0000 0.5000
3 Cl 0.3333 0.6667 0.2500
4 Cl 0.6667 0.3333 0.7500

The 12 most intense peaks (2θ from 10° to 90°), in order of rising 2θ:
two_theta	I/Imax
20.19	29
28.66	52
35.30	100
41.03	13
50.79	43
55.17	13
59.33	7
63.35	19
67.24	18
71.05	13
74.67	7
85.36	20


Diffraction record for Rb2PrCl5. The powder diffractogram is simulated, not measured: it uses a DFT-relaxed cell (PBE, OQMD) and Cu Kα.
Lines closer than 0.1° are merged.

Atomic structure:
Cell: 13.2510 8.9885 8.2628 Å, 90.00 90.00 90.00°
Positions (direct):
1 Rb 0.1709 0.0065 0.0586
2 Rb 0.1709 0.4935 0.0586
3 Rb 0.3291 0.5065 0.5586
4 Rb 0.3291 0.9935 0.5586
5 Rb 0.6709 0.0065 0.4414
6 Rb 0.6709 0.4935 0.4414
7 Rb 0.8291 0.5065 0.9414
8 Rb 0.8291 0.9935 0.9414
9 Pr 0.0058 0.2500 0.5720
10 Pr 0.4942 0.7500 0.0720
11 Pr 0.5058 0.2500 0.9280
12 Pr 0.9942 0.7500 0.4280
13 Cl 0.0098 0.2500 0.9115
14 Cl 0.0717 0.5427 0.6647
15 Cl 0.0717 0.9573 0.6647
16 Cl 0.1794 0.2500 0.3822
17 Cl 0.1988 0.7500 0.3467
18 Cl 0.3012 0.2500 0.8467
19 Cl 0.3206 0.7500 0.8822
20 Cl 0.4283 0.0427 0.1647
21 Cl 0.4283 0.4573 0.1647
22 Cl 0.4902 0.7500 0.4115
23 Cl 0.5098 0.2500 0.5885
24 Cl 0.5717 0.5427 0.8353
25 Cl 0.5717 0.9573 0.8353
26 Cl 0.6794 0.2500 0.1178
27 Cl 0.6988 0.7500 0.1533
28 Cl 0.8012 0.2500 0.6533
29 Cl 0.8206 0.7500 0.6178
30 Cl 0.9283 0.0427 0.3353
31 Cl 0.9283 0.4573 0.3353
32 Cl 0.9902 0.7500 0.0885

The 12 most intense peaks (2θ from 10° to 90°), in order of rising 2θ:
two_theta	I/Imax
12.63	42
21.51	42
22.83	100
23.51	100
23.93	59
30.15	74
32.39	67
33.61	53
36.72	42
40.13	47
41.02	57
46.65	49


Diffraction record for PrZr3Cl15. The powder diffractogram is simulated, not measured: it uses a DFT-relaxed cell (PBE, OQMD) and Cu Kα.
Lines closer than 0.1° are merged.

Atomic structure:
Cell: 9.2718 9.2718 9.2718 Å, 113.78 113.78 113.78°
Positions (direct):
1 Pr 0.0000 0.0000 0.0000
2 Zr 0.2055 0.6454 0.6454
3 Zr 0.6454 0.2055 0.6454
4 Zr 0.6454 0.6454 0.2055
5 Cl 0.1658 0.3772 0.3772
6 Cl 0.2951 0.9347 0.9347
7 Cl 0.3457 0.5471 0.8915
8 Cl 0.3457 0.8915 0.5471
9 Cl 0.3772 0.1658 0.3772
10 Cl 0.3772 0.3772 0.1658
11 Cl 0.5471 0.3457 0.8915
12 Cl 0.5471 0.8915 0.3457
13 Cl 0.6155 0.8728 0.8728
14 Cl 0.8728 0.6155 0.8728
15 Cl 0.8728 0.8728 0.6155
16 Cl 0.8915 0.3457 0.5471
17 Cl 0.8915 0.5471 0.3457
18 Cl 0.9347 0.2951 0.9347
19 Cl 0.9347 0.9347 0.2951

The 12 most intense peaks (2θ from 10° to 90°), in order of rising 2θ:
two_theta	I/Imax
18.21	100
21.53	33
22.90	31
34.97	26
35.71	30
36.90	23
37.60	22
38.74	34
42.22	11
42.85	19
43.39	15
54.34	12


Diffraction record for PtCl4. The powder diffractogram is simulated, not measured: it uses a DFT-relaxed cell (PBE, OQMD) and Cu Kα.
Lines closer than 0.1° are merged.

Atomic structure:
Cell: 5.7352 5.7352 3.5687 Å, 90.00 90.00 92.70°
Positions (direct):
1 Pt 0.0000 0.0000 0.0000
2 Cl 0.1881 0.8119 0.5000
3 Cl 0.2958 0.2958 0.0000
4 Cl 0.7042 0.7042 0.0000
5 Cl 0.8119 0.1881 0.5000

The 12 most intense peaks (2θ from 10° to 90°), in order of rising 2θ:
two_theta	I/Imax
15.47	100
21.41	27
22.46	22
24.95	15
29.49	22
33.11	40
35.70	25
40.38	16
42.91	22
44.05	18
54.50	18
57.71	12


Diffraction record for PtS2Cl8. The powder diffractogram is simulated, not measured: it uses a DFT-relaxed cell (PBE, OQMD) and Cu Kα.
Lines closer than 0.1° are merged.

Atomic structure:
Cell: 6.3264 7.2060 12.4241 Å, 90.00 99.72 90.00°
Positions (direct):
1 Pt 0.0000 0.0000 0.0000
2 Pt 0.0000 0.5000 0.5000
3 S 0.2974 0.2057 0.0189
4 S 0.2974 0.2943 0.5189
5 S 0.7026 0.7057 0.4811
6 S 0.7026 0.7943 0.9811
7 Cl 0.1643 0.6039 0.3555
8 Cl 0.1643 0.8961 0.8555
9 Cl 0.2191 0.0879 0.4099
10 Cl 0.2191 0.4121 0.9099
11 Cl 0.2571 0.6599 0.6236
12 Cl 0.2571 0.8401 0.1236
13 Cl 0.3048 0.1624 0.6621
14 Cl 0.3048 0.3376 0.1621
15 Cl 0.6952 0.6624 0.8379
16 Cl 0.6952 0.8376 0.3379
17 Cl 0.7429 0.1599 0.8764
18 Cl 0.7429 0.3401 0.3764
19 Cl 0.7809 0.5879 0.0901
20 Cl 0.7809 0.9121 0.5901
21 Cl 0.8357 0.1039 0.1445
22 Cl 0.8357 0.3961 0.6445

The 12 most intense peaks (2θ from 10° to 90°), in order of rising 2θ:
two_theta	I/Imax
14.24	100
14.47	48
18.52	19
19.29	31
21.04	30
25.07	14
27.00	19
28.62	20
28.93	12
33.32	22
38.17	12
39.20	18


Diffraction record for PuCl. The powder diffractogram is simulated, not measured: it uses a DFT-relaxed cell (PBE, OQMD) and Cu Kα.
Lines closer than 0.1° are merged.

Atomic structure:
Cell: 3.9534 3.9534 3.9534 Å, 60.00 60.00 60.00°
Positions (direct):
1 Pu 0.0000 0.0000 0.0000
2 Cl 0.5000 0.5000 0.5000

The 9 most intense peaks (2θ from 10° to 90°), in order of rising 2θ:
two_theta	I/Imax
27.63	100
32.02	98
45.91	73
54.43	51
57.06	25
66.95	12
73.89	21
76.14	33
84.99	26


Diffraction record for TbPuCl6. The powder diffractogram is simulated, not measured: it uses a DFT-relaxed cell (PBE, OQMD) and Cu Kα.
Lines closer than 0.1° are merged.

Atomic structure:
Cell: 7.0318 7.0318 6.4667 Å, 100.54 100.54 119.87°
Positions (direct):
1 Tb 0.0000 0.0000 0.0000
2 Pu 0.3321 0.6679 0.0000
3 Cl 0.0992 0.4074 0.2415
4 Cl 0.2272 0.2474 0.7597
5 Cl 0.3848 0.0594 0.2455
6 Cl 0.5926 0.9008 0.7585
7 Cl 0.7526 0.7728 0.2403
8 Cl 0.9406 0.6152 0.7545

The 12 most intense peaks (2θ from 10° to 90°), in order of rising 2θ:
two_theta	I/Imax
14.56	29
14.71	96
15.35	53
17.53	37
20.75	23
25.80	73
32.26	100
35.62	30
44.61	38
47.20	21
47.88	32
56.11	19


Diffraction record for PuTlCl6. The powder diffractogram is simulated, not measured: it uses a DFT-relaxed cell (PBE, OQMD) and Cu Kα.
Lines closer than 0.1° are merged.

Atomic structure:
Cell: 6.8927 6.8954 7.5034 Å, 62.68 62.66 60.05°
Positions (direct):
1 Pu 0.0000 0.0000 0.0000
2 Tl 0.5000 0.5000 0.5000
3 Cl 0.0328 0.8012 0.7717
4 Cl 0.1986 0.6061 0.2283
5 Cl 0.3943 0.0328 0.7716
6 Cl 0.6057 0.9672 0.2284
7 Cl 0.8014 0.3939 0.7717
8 Cl 0.9672 0.1988 0.2283

The 12 most intense peaks (2θ from 10° to 90°), in order of rising 2θ:
two_theta	I/Imax
17.52	100
23.87	53
25.84	24
31.39	28
35.47	15
38.51	43
40.73	12
41.09	24
44.40	22
45.57	16
56.09	11
59.04	10


Diffraction record for Rb2TcCl6. The powder diffractogram is simulated, not measured: it uses a DFT-relaxed cell (PBE, OQMD) and Cu Kα.
Lines closer than 0.1° are merged.

Atomic structure:
Cell: 7.1801 7.1801 7.1801 Å, 120.50 120.50 89.14°
Positions (direct):
1 Rb 0.2500 0.7500 0.5000
2 Rb 0.7500 0.2500 0.5000
3 Tc 0.0000 0.0000 0.0000
4 Cl 0.2178 0.7478 0.9656
5 Cl 0.2328 0.2328 0.0000
6 Cl 0.2522 0.2178 0.4700
7 Cl 0.7478 0.7822 0.5300
8 Cl 0.7672 0.7672 0.0000
9 Cl 0.7822 0.2522 0.0344

The 12 most intense peaks (2θ from 10° to 90°), in order of rising 2θ:
two_theta	I/Imax
15.15	100
24.80	81
24.99	42
29.36	26
30.58	94
35.09	47
35.64	87
43.56	18
43.91	37
50.87	57
51.28	27
63.66	27


Diffraction record for RbUCl6. The powder diffractogram is simulated, not measured: it uses a DFT-relaxed cell (PBE, OQMD) and Cu Kα.
Lines closer than 0.1° are merged.

Atomic structure:
Cell: 7.6811 7.6811 7.6811 Å, 54.89 54.89 54.89°
Positions (direct):
1 Rb 0.0000 0.0000 0.0000
2 U 0.5000 0.5000 0.5000
3 Cl 0.0895 0.5918 0.5918
4 Cl 0.4082 0.4082 0.9105
5 Cl 0.4082 0.9105 0.4082
6 Cl 0.5918 0.0895 0.5918
7 Cl 0.5918 0.5918 0.0895
8 Cl 0.9105 0.4082 0.4082

The 12 most intense peaks (2θ from 10° to 90°), in order of rising 2θ:
two_theta	I/Imax
13.62	21
15.15	69
17.08	100
23.30	83
25.16	29
30.57	52
37.30	22
37.56	54
39.99	26
43.22	32
51.64	19
52.91	20


Diffraction record for RbW3Cl9. The powder diffractogram is simulated, not measured: it uses a DFT-relaxed cell (PBE, OQMD) and Cu Kα.
Lines closer than 0.1° are merged.

Atomic structure:
Cell: 9.4258 9.4258 8.4392 Å, 90.00 90.00 120.00°
Positions (direct):
1 Rb 0.3333 0.6667 0.0656
2 Rb 0.6667 0.3333 0.9344
3 W 0.0192 0.8287 0.6295
4 W 0.1713 0.1905 0.6295
5 W 0.1905 0.0192 0.3705
6 W 0.8095 0.9808 0.6295
7 W 0.8287 0.8095 0.3705
8 W 0.9808 0.1713 0.3705
9 Cl 0.0218 0.8056 0.1820
10 Cl 0.0391 0.6255 0.8041
11 Cl 0.1734 0.4204 0.5029
12 Cl 0.1944 0.2162 0.1820
13 Cl 0.2162 0.0218 0.8180
14 Cl 0.2470 0.8266 0.5029
15 Cl 0.3745 0.4136 0.8041
16 Cl 0.4136 0.0391 0.1959
17 Cl 0.4204 0.2470 0.4971
18 Cl 0.5796 0.7530 0.5029
19 Cl 0.5864 0.9609 0.8041
20 Cl 0.6255 0.5864 0.1959
21 Cl 0.7530 0.1734 0.4971
22 Cl 0.7838 0.9782 0.1820
23 Cl 0.8056 0.7838 0.8180
24 Cl 0.8266 0.5796 0.4971
25 Cl 0.9609 0.3745 0.1959
26 Cl 0.9782 0.1944 0.8180

The 12 most intense peaks (2θ from 10° to 90°), in order of rising 2θ:
two_theta	I/Imax
10.48	39
10.84	100
15.10	56
21.60	13
28.94	14
34.64	9
36.06	51
41.29	10
43.54	15
44.01	19
45.47	10
52.54	10


Diffraction record for ReCl4. The powder diffractogram is simulated, not measured: it uses a DFT-relaxed cell (PBE, OQMD) and Cu Kα.
Lines closer than 0.1° are merged.

Atomic structure:
Cell: 5.9350 5.9350 3.4803 Å, 90.00 90.00 94.09°
Positions (direct):
1 Re 0.0000 0.0000 0.0000
2 Cl 0.1915 0.8085 0.5000
3 Cl 0.2837 0.2837 0.0000
4 Cl 0.7163 0.7163 0.0000
5 Cl 0.8085 0.1915 0.5000

The 12 most intense peaks (2θ from 10° to 90°), in order of rising 2θ:
two_theta	I/Imax
14.97	100
20.45	27
21.98	20
25.60	13
29.78	21
32.98	38
34.84	22
39.99	14
42.10	21
43.73	15
53.37	16
56.76	13


Diffraction record for ReCl6. The powder diffractogram is simulated, not measured: it uses a DFT-relaxed cell (PBE, OQMD) and Cu Kα.
Lines closer than 0.1° are merged.

Atomic structure:
Cell: 6.5281 6.5281 6.5281 Å, 55.00 55.00 55.00°
Positions (direct):
1 Re 0.0000 0.0000 0.0000
2 Cl 0.0851 0.7677 0.3876
3 Cl 0.2323 0.6124 0.9149
4 Cl 0.3876 0.0851 0.7677
5 Cl 0.6124 0.9149 0.2323
6 Cl 0.7677 0.3876 0.0851
7 Cl 0.9149 0.2323 0.6124

The 12 most intense peaks (2θ from 10° to 90°), in order of rising 2θ:
two_theta	I/Imax
16.05	41
17.81	100
20.10	74
27.49	26
31.99	17
33.88	67
40.86	13
44.50	39
46.34	13
47.36	13
52.59	20
58.77	14